[1]
This entry pairs a crystal structure of AcAg2Br8 with its theoretical powder diffraction line list. Radiation: Cu Kα, 1.54184 Å. Structure: a cell relaxed with PBE.
Kinematic intensities with the Lorentz-polarization factor, no thermal factor.

The 6 most intense peaks (15 to 90 degrees two-theta), sorted by position:
d (Å)  2theta  Rel. int.
4.114  21.60  100
3.272  27.26  91
2.674  33.51  44
2.657  33.74  70
2.451  36.66  99
2.242  40.22  51

Structure:
```
11
Lattice="-3.782 3.782 6.438 3.782 -3.782 6.438 3.782 3.782 -6.438" Properties=species:S:1:pos:R:3 pbc="T T T"
Ac 0.000 0.000 0.000
Ag 3.782 0.000 3.219
Ag 0.000 3.782 3.219
Br 5.117 1.358 -1.467
Br 1.358 2.448 -1.467
Br 2.448 1.358 1.467
Br 2.424 -1.334 7.905
Br 2.424 1.334 4.970
Br -1.334 2.424 4.970
Br 1.358 5.117 1.467
Br 1.334 2.424 7.905
```

---

[2]
This entry pairs a crystal structure of Tb3MnTl4S8 with its theoretical powder diffraction line list. Radiation: Cu Kα, 1.54184 Å. Structure: a cell relaxed with PBE.
Kinematic intensities with the Lorentz-polarization factor, no thermal factor.

The 6 most intense peaks (15 to 90 degrees two-theta), sorted by position:
d (Å)  2theta  Rel. int.
3.726  23.88  31
3.282  27.17  62
2.925  30.56  100
2.167  41.67  39
1.982  45.78  33
1.750  52.28  24

Structure:
```
16
Lattice="3.964 2.289 7.453 -3.964 2.289 7.453 0.000 -4.578 7.453" Properties=species:S:1:pos:R:3 pbc="T T T"
Tb -1.982 -1.144 7.453
Tb -1.982 1.144 14.906
Tb 0.000 2.289 7.453
Mn 0.000 0.000 0.000
Tl -3.964 0.000 11.179
Tl -1.982 1.144 3.726
Tl 1.982 1.144 3.726
Tl 0.000 0.000 11.179
S 0.000 -2.426 8.889
S -2.101 1.213 8.889
S -2.101 -1.213 13.470
S 0.000 0.000 5.945
S 0.000 0.000 16.414
S 2.101 1.213 8.889
S 2.101 -1.213 13.470
S 0.000 2.426 13.470
```